Record 1
The following is a theoretical powder X-ray diffraction pattern of Li6V5SbO12. It was derived from a PBE+U-relaxed structure, using CuKα.

Peak list (10 most intense, 15° ≤ 2θ ≤ 90°, low angle first)
2θ/deg	d/Å	I_rel
17.08	5.192	100
34.41	2.607	14
34.90	2.570	12
35.90	2.502	22
40.52	2.226	12
41.25	2.189	22
45.02	2.014	17
53.81	1.704	10
58.96	1.566	9
59.43	1.555	13

```
Li6V5SbO12
1.0
10.4205 -4.5363 0.0000
10.4205 4.5363 0.0000
-0.4554 0.0000 5.4208
Li V Sb O
12 10 2 24
Direct
0.0588 0.7274 0.1397
0.1065 0.1063 0.3656
0.2229 0.5619 0.6361
0.2726 0.9412 0.8603
0.3938 0.3938 0.1342
0.4381 0.7771 0.3639
0.5599 0.2261 0.6393
0.6062 0.6062 0.8658
0.7229 0.0614 0.1366
0.7739 0.4401 0.3607
0.8937 0.8935 0.6344
0.9386 0.2771 0.8634
0.0897 0.4106 0.2501
0.1631 0.8369 0.5000
0.3378 0.6622 0.0000
0.4079 0.0921 0.2500
0.4970 0.5030 0.5000
0.5894 0.9103 0.7499
0.6630 0.3370 0.0000
0.8376 0.1624 0.5000
0.9079 0.5921 0.7500
0.9958 0.0042 0.0000
0.2492 0.2512 0.7501
0.7488 0.7508 0.2499
0.0355 0.3633 0.8928
0.0490 0.0645 0.6867
0.1116 0.7806 0.8279
0.1368 0.4649 0.6075
0.1969 0.1969 0.4185
0.2194 0.8884 0.1721
0.2830 0.6048 0.3178
0.3036 0.3030 0.0819
0.3595 0.0382 0.8937
0.3952 0.7170 0.6822
0.4355 0.4502 0.8146
0.4622 0.1401 0.6062
0.5351 0.8632 0.3925
0.5498 0.5645 0.1854
0.6112 0.2800 0.3288
0.6367 0.9645 0.1072
0.6970 0.6964 0.9181
0.7200 0.3888 0.6712
0.7827 0.1052 0.8161
0.8031 0.8031 0.5815
0.8599 0.5378 0.3938
0.8948 0.2173 0.1839
0.9355 0.9510 0.3133
0.9618 0.6405 0.1063
```


Record 2
The following is a theoretical powder X-ray diffraction pattern of Li6V3Sb3O16. It was derived from a PBE+U-relaxed structure, using CuKα.

Peak list (10 most intense, 15° ≤ 2θ ≤ 90°, low angle first)
2θ/deg	d/Å	I_rel
16.67	5.319	14
17.61	5.037	100
18.81	4.716	10
18.96	4.680	24
19.05	4.660	14
24.44	3.642	11
35.24	2.547	30
43.60	2.076	22
43.77	2.068	14
60.50	1.530	12

```
Li6V3Sb3O16
1.0
6.0588 0.0000 0.0000
3.0267 5.3190 0.0000
0.0016 0.0671 10.0734
Li V Sb O
6 3 3 16
Direct
0.0000 0.0000 0.0000
0.0043 0.9913 0.3727
0.3308 0.3380 0.8767
0.3389 0.3222 0.4910
0.6732 0.6532 0.3765
0.6802 0.6395 0.8820
0.9998 0.4941 0.1662
0.4915 0.5020 0.1612
0.8358 0.3283 0.6627
0.3321 0.8322 0.6642
0.4991 0.0032 0.1640
0.8355 0.8322 0.6642
0.0061 0.9876 0.7781
0.1548 0.6903 0.5510
0.1598 0.1448 0.5577
0.1786 0.1846 0.0571
0.1875 0.6293 0.0677
0.3349 0.3304 0.2742
0.3632 0.8146 0.2702
0.5092 0.5155 0.7691
0.5167 0.9665 0.7773
0.6384 0.1843 0.0575
0.6636 0.6726 0.5568
0.6659 0.6679 0.0612
0.6952 0.1448 0.5576
0.8196 0.3666 0.2608
0.8233 0.8147 0.2699
0.9751 0.5155 0.7691
```